For Cs4Tl3I10, a cell relaxed with GGA-PBE gives the theoretical powder diffractogram in this record (Cu Ka).
Peak positions follow from Bragg's law for the DFT cell and can differ from measured ones.

Peak list (10 most intense, 2θ = 10–90°, most intense first)
28.5°, I 1000, hkl 2 2 -1; 40.5°, I 621, hkl 2 2 -8; 25.7°, I 433, hkl 2 0 3; 28.1°, I 417, hkl 0 0 7; 40.8°, I 379, hkl 0 4 0; 20.1°, I 312, hkl 0 2 0; 14.3°, I 297, hkl 1 1 -1; 50.3°, I 265, hkl 0 4 7; 19.9°, I 257, hkl 1 1 -4; 11.9°, I 218, hkl 0 0 3

Crystal structure
abc: 8.8391 8.8495 22.6612
angles: 90.00 101.11 90.00
Space group C2/m (No. 12)
Unique sites:
Cs 0.0638 0.0000 0.1357 x4
Cs 0.1959 0.0000 0.3974 x4
Tl 0.0000 0.5000 0.0000 x2
Tl 0.1438 0.5000 0.2886 x4
I 0.0699 0.5000 0.1395 x4
I 0.1114 0.2503 0.7212 x8
I 0.2148 0.5000 0.4290 x4
I 0.2500 0.2500 0.0000 x4

***

For CsTlI4, a cell relaxed with GGA-PBE gives the theoretical powder diffractogram in this record (Cu Ka).
Peak positions follow from Bragg's law for the DFT cell and can differ from measured ones.

Peak list (10 most intense, 2θ = 10–90°, most intense first)
27.6°, I 1000, hkl 2 1 -4; 28.7°, I 830, hkl 2 3 -1; 30.3°, I 579, hkl 2 2 1; 17.9°, I 560, hkl 1 1 1; 16.9°, I 509, hkl 0 2 1; 19.2°, I 478, hkl 2 1 -2; 19.9°, I 447, hkl 1 2 -2; 26.0°, I 336, hkl 3 0 -2; 31.0°, I 315, hkl 2 3 -3; 43.1°, I 314, hkl 4 1 0

Crystal structure
abc: 10.3122 11.8837 13.5293
angles: 90.00 124.22 90.00
Space group P2_1/c (No. 14)
Unique sites:
Cs 0.1803 0.1629 0.2734 x4
Tl 0.3015 0.6685 0.2008 x4
I 0.0687 0.6575 0.6072 x4
I 0.2027 0.5052 0.2969 x4
I 0.3378 0.6046 0.0157 x4
I 0.3950 0.2493 0.1197 x4

***

For Cs6TlI8, a cell relaxed with GGA-PBE gives the theoretical powder diffractogram in this record (Cu Ka).
Peak positions follow from Bragg's law for the DFT cell and can differ from measured ones.

Peak list (10 most intense, 2θ = 10–90°, most intense first)
27.6°, I 1000, hkl 1 1 2; 26.8°, I 544, hkl 1 2 1; 14.5°, I 312, hkl 0 1 1; 42.2°, I 255, hkl 3 -2 3; 53.9°, I 190, hkl 2 3 3; 35.2°, I 183, hkl 4 -3 1; 39.4°, I 144, hkl 4 -2 2; 38.9°, I 121, hkl 2 0 3; 22.5°, I 108, hkl 0 0 2; 51.1°, I 91, hkl 4 2 1

Crystal structure
abc: 11.2034 11.2034 7.9031
angles: 90.00 90.00 120.00
Space group P-3 (No. 147)
Unique sites:
Cs 0.0006 0.6224 0.2219 x6
Tl 0.0000 0.0000 0.5000 x1
I 0.0005 0.7386 0.7106 x6
I 0.3333 0.6667 0.9989 x2